Starting from a DFT-relaxed cell (PBE, Alexandria), the XRD peak list of Tc2MoP was simulated for λ = 1.5418 Å (Cu Kα).
Kinematic intensities with the Lorentz-polarization factor, no thermal factor.

Main lines, low angle first (10 to 80 degrees two-theta):
- 28.51 deg, d 3.131, I = 22, (0 1 1)
- 39.73 deg, d 2.269, I = 74, (1 1 0)
- 40.35 deg, d 2.235, I = 46, (1 1 -1)
- 40.49 deg, d 2.228, I = 30, (1 0 1)
- 42.10 deg, d 2.147, I = 100, (0 1 2)
- 42.29 deg, d 2.137, I = 39, (1 0 -2)
- 45.80 deg, d 1.981, I = 40, (0 2 0)
- 62.76 deg, d 1.481, I = 16, (1 2 1)
- 64.09 deg, d 1.453, I = 22, (1 2 -2)
- 78.78 deg, d 1.215, I = 14, (1 1 -4)

Crystal structure
```
data_Tc2MoP
_cell_length_a 2.843
_cell_length_b 3.963
_cell_length_c 5.248
_cell_angle_alpha 90.00
_cell_angle_beta 103.28
_cell_angle_gamma 90.00
_space_group_name_H-M_alt 'P 1 2/m 1'
_space_group_IT_number 10
loop_
_space_group_symop_operation_xyz
'x,y,z'
'-x,-y,-z'
'-x,y,-z'
'x,-y,z'
loop_
_atom_site_label
_atom_site_type_symbol
_atom_site_fract_x
_atom_site_fract_y
_atom_site_fract_z
Tc1 Tc 0.140 0.000 0.268
Mo1 Mo 0.500 0.500 0.000
P1 P 0.500 0.500 0.500
```